# 1
# PH6Pd12
Calculated X-ray diffraction stick pattern, CuKα. Input: a cell relaxed with GGA-PBE.
No peak broadening, texture or thermal motion is included.

Main lines, in order of falling intensity (10° ≤ 2θ ≤ 90°):
Position (°2θ), d/Å, Rel. int.
35.5, 2.531, 100
45.2, 2.004, 26
41.0, 2.200, 22
52.1, 1.754, 17
38.8, 2.321, 16
49.9, 1.827, 15
74.5, 1.274, 13
74.8, 1.270, 11
71.8, 1.315, 10
78.3, 1.221, 6

```
PH6Pd12
1.0
4.642 2.680 3.049
-4.642 2.680 3.049
0.000 -5.360 3.049
P H Pd
1 6 12
direct
0.000 0.000 0.000
0.228 0.408 0.645
0.355 0.772 0.592
0.408 0.645 0.228
0.592 0.355 0.772
0.645 0.228 0.408
0.772 0.592 0.355
0.079 0.878 0.666
0.122 0.334 0.921
0.185 0.539 0.383
0.334 0.921 0.122
0.383 0.185 0.539
0.461 0.617 0.815
0.539 0.383 0.185
0.617 0.815 0.461
0.666 0.079 0.878
0.815 0.461 0.617
0.878 0.666 0.079
0.921 0.122 0.334
```

***

# 2
# P2H2Pd7
Calculated X-ray diffraction stick pattern, CuKα. Input: a cell relaxed with GGA-PBE.
No peak broadening, texture or thermal motion is included.

Main lines, in order of falling intensity (10° ≤ 2θ ≤ 90°):
Position (°2θ), d/Å, Rel. int.
37.8, 2.379, 100
37.2, 2.417, 70
39.0, 2.310, 59
40.1, 2.250, 40
37.4, 2.405, 40
38.4, 2.342, 36
36.0, 2.494, 34
39.3, 2.291, 28
40.8, 2.214, 26
33.3, 2.687, 25

```
P2H2Pd7
1.0
4.703 0.000 0.000
0.512 5.630 0.000
0.229 1.755 5.564
P H Pd
2 2 7
direct
0.070 0.493 0.311
0.930 0.507 0.689
0.486 0.110 0.121
0.514 0.890 0.879
0.233 0.144 0.867
0.244 0.081 0.378
0.254 0.642 0.906
0.500 0.500 0.500
0.746 0.358 0.094
0.756 0.919 0.622
0.767 0.856 0.133
```

***

# 3
# PH2Pd4
Calculated X-ray diffraction stick pattern, CuKα. Input: a cell relaxed with GGA-PBE.
No peak broadening, texture or thermal motion is included.

Main lines, in order of falling intensity (10° ≤ 2θ ≤ 90°):
Position (°2θ), d/Å, Rel. int.
38.2, 2.358, 100
39.5, 2.280, 48
44.4, 2.040, 26
29.6, 3.014, 26
36.4, 2.466, 25
46.1, 1.971, 24
32.3, 2.771, 20
40.0, 2.253, 15
67.4, 1.389, 11
62.5, 1.486, 10

```
PH2Pd4
1.0
0.000 5.541 3.068
4.932 0.000 3.068
4.932 5.541 0.000
P H Pd
2 4 8
direct
0.000 0.000 0.000
0.250 0.250 0.250
0.113 0.616 0.699
0.551 0.678 0.137
0.616 0.113 0.572
0.678 0.551 0.634
0.275 0.383 0.871
0.379 0.779 0.975
0.383 0.275 0.471
0.455 0.844 0.326
0.779 0.379 0.867
0.844 0.455 0.376
0.874 0.924 0.406
0.924 0.874 0.795
```

***

# 4
# P2HPd6
Calculated X-ray diffraction stick pattern, CuKα. Input: a cell relaxed with GGA-PBE.
No peak broadening, texture or thermal motion is included.

Main lines, in order of falling intensity (10° ≤ 2θ ≤ 90°):
Position (°2θ), d/Å, Rel. int.
36.5, 2.460, 100
37.2, 2.419, 39
47.8, 1.902, 22
45.2, 2.007, 17
47.1, 1.928, 11
67.9, 1.381, 10
81.6, 1.180, 9
54.6, 1.681, 9
33.1, 2.709, 8
31.7, 2.819, 7

```
P2HPd6
1.0
4.854 -1.902 0.000
4.854 1.902 0.000
-0.287 0.000 6.722
P H Pd
2 1 6
direct
0.212 0.212 0.244
0.788 0.788 0.756
0.000 0.000 0.500
0.032 0.032 0.759
0.352 0.352 0.963
0.357 0.357 0.529
0.643 0.643 0.471
0.648 0.648 0.037
0.968 0.968 0.241
```